No. 1
Theoretical X-ray powder pattern of Pr4ZnCoI2 for Cu Kα (weighted mean of Kα1 and Kα2), from a structure optimized by DFT (GGA-PBE).
No peak broadening, texture or thermal motion is included.

Lattice parameters (Å, degrees): 7.5303 4.1348 8.4825 90.00 106.11 90.00
Space group P2/m (No. 10)
Symmetry-distinct sites (fractional):
Pr: 0.2203 0.0000 0.1869 [2 per cell]
Pr: 0.2276 0.5000 0.8064 [2 per cell]
Zn: 0.5000 0.0000 0.0000 [1 per cell]
Co: 0.0000 0.5000 0.0000 [1 per cell]
I: 0.0000 0.0000 0.5000 [1 per cell]
I: 0.5000 0.5000 0.5000 [1 per cell]

Principal peaks in the range 10 to 90 degrees two-theta, in order of rising 2θ:
Position (°2θ), I (rel.)
28.08, 41.2
28.52, 100.0
30.85, 24.3
32.97, 16.6
37.55, 16.8
38.72, 22.2
42.12, 32.1
43.79, 18.9
50.48, 10.8
52.83, 14.1
54.79, 8.8
54.98, 12.2



No. 2
Theoretical X-ray powder pattern of CoNiAg2 for Cu Kα (weighted mean of Kα1 and Kα2), from a structure optimized by DFT (GGA-PBE).
No peak broadening, texture or thermal motion is included.

Lattice parameters (Å, degrees): 9.1054 2.7194 4.7726 90.00 99.38 90.00
Space group C2/m (No. 12)
Symmetry-distinct sites (fractional):
Co: 0.0000 0.0000 0.0000 [2 per cell]
Ni: 0.0000 0.5000 0.5000 [2 per cell]
Ag: 0.2493 0.0000 0.7493 [4 per cell]

Principal peaks in the range 10 to 90 degrees two-theta, in order of rising 2θ:
Position (°2θ), I (rel.)
19.76, 23.4
40.20, 100.0
40.38, 98.7
46.37, 32.5
47.11, 61.9
68.18, 19.1
68.31, 19.0
81.84, 18.0
82.64, 11.1
82.76, 11.0
83.06, 21.9
87.30, 9.8



No. 3
Theoretical X-ray powder pattern of Nd14TmHg for Cu Kα (weighted mean of Kα1 and Kα2), from a structure optimized by DFT (GGA-PBE).
No peak broadening, texture or thermal motion is included.

Lattice parameters (Å, degrees): 10.3446 10.1996 10.2124 90.00 90.00 90.00
Space group Amm2 (No. 38)
Symmetry-distinct sites (fractional):
Nd: 0.0000 0.0000 0.0000 [2 per cell]
Nd: 0.0000 0.0000 0.4932 [2 per cell]
Nd: 0.0000 0.2397 0.2452 [4 per cell]
Nd: 0.2388 0.0000 0.7471 [4 per cell]
Nd: 0.2566 0.2492 0.4940 [8 per cell]
Nd: 0.2721 0.0000 0.2486 [4 per cell]
Nd: 0.5000 0.2277 0.7338 [4 per cell]
Tm: 0.5000 0.0000 0.9926 [2 per cell]
Hg: 0.5000 0.0000 0.4919 [2 per cell]

Principal peaks in the range 10 to 90 degrees two-theta, in order of rising 2θ:
Position (°2θ), I (rel.)
30.20, 100.0
34.69, 16.9
35.17, 33.4
50.23, 23.0
50.59, 11.6
59.41, 13.2
60.06, 26.9
62.80, 11.5
81.74, 10.3
82.30, 5.2
83.88, 4.5
85.00, 4.9



No. 4
Theoretical X-ray powder pattern of Na6AcPb2 for Cu Kα (weighted mean of Kα1 and Kα2), from a structure optimized by DFT (GGA-PBE).
No peak broadening, texture or thermal motion is included.

Lattice parameters (Å, degrees): 4.7728 4.7728 13.5346 90.00 90.00 90.00
Space group P4/mmm (No. 123)
Symmetry-distinct sites (fractional):
Na: 0.0000 0.0000 0.0000 [1 per cell]
Na: 0.0000 0.5000 0.2228 [4 per cell]
Na: 0.5000 0.5000 0.0000 [1 per cell]
Ac: 0.0000 0.0000 0.5000 [1 per cell]
Pb: 0.5000 0.5000 0.3888 [2 per cell]

Principal peaks in the range 10 to 90 degrees two-theta, in order of rising 2θ:
Position (°2θ), I (rel.)
13.08, 18.6
26.41, 41.9
27.22, 100.0
29.58, 35.6
32.43, 54.6
37.69, 33.9
38.25, 56.4
44.44, 14.3
47.10, 19.6
50.56, 32.3
54.77, 26.4
61.85, 16.8



No. 5
Theoretical X-ray powder pattern of Ag3Br5Cl for Cu Kα (weighted mean of Kα1 and Kα2), from a structure optimized by DFT (GGA-PBE).
No peak broadening, texture or thermal motion is included.

Lattice parameters (Å, degrees): 12.4455 10.0739 10.5407 90.00 121.06 90.00
Space group C2/m (No. 12)
Symmetry-distinct sites (fractional):
Ag: 0.0000 0.0000 0.0000 [2 per cell]
Ag: 0.0000 0.0000 0.5000 [2 per cell]
Ag: 0.1629 0.5000 0.1614 [4 per cell]
Ag: 0.1680 0.5000 0.6679 [4 per cell]
Br: 0.0000 0.3152 0.0000 [4 per cell]
Br: 0.0589 0.5000 0.3784 [4 per cell]
Br: 0.1624 0.1754 0.6614 [8 per cell]
Br: 0.2306 0.0000 0.0440 [4 per cell]
Cl: 0.1128 0.0000 0.2769 [4 per cell]

Principal peaks in the range 10 to 90 degrees two-theta, in order of rising 2θ:
Position (°2θ), I (rel.)
17.61, 75.6
18.04, 100.0
28.08, 34.4
28.64, 27.7
29.40, 36.1
29.67, 39.3
35.65, 20.0
36.56, 24.0
36.83, 75.5
37.28, 53.7
45.41, 99.2
47.75, 22.3